For K5Mn2O6, the PBE+U geometry in Alexandria gives the calculated powder diffractogram in this record (Cu Kα).
Kinematic intensities with the Lorentz-polarization factor, no thermal factor.

Most intense lines, 2θ = 10–90°, low angle first:
2θ 13.0, intensity 17
2θ 15.9, intensity 62
2θ 16.9, intensity 24
2θ 19.1, intensity 32
2θ 28.1, intensity 20
2θ 29.3, intensity 28
2θ 29.7, intensity 44
2θ 32.2, intensity 100
2θ 33.3, intensity 36
2θ 59.5, intensity 17

Structural model:
abc: 10.786 7.056 13.744
angles: 90.00 98.41 90.00
Space group C2/c (No. 15)
Asymmetric unit:
K  0.000  0.133  0.250
K  0.046  0.216  0.995
K  0.155  0.411  0.711
Mn  0.221  0.386  0.427
O  0.066  0.468  0.376
O  0.161  0.030  0.644
O  0.185  0.115  0.442